1.
The following is a computed powder XRD pattern of Sr2FeSnO6. It was derived from a cell relaxed with PBE+U, using a wavelength of 1.5418 Å.
Neutral-atom scattering factors, no anomalous dispersion.

Peak list (10 most intense, 2θ from 10° to 80°, sorted by position)
Position (°2θ), I (rel.)
31.26, 100.0
31.39, 19.8
44.61, 14.4
44.93, 28.1
55.53, 16.1
55.68, 15.9
55.79, 15.8
65.17, 17.1
73.81, 7.1
74.27, 10.5

Atomic structure:
Lattice parameters (Å, degrees): 12.751 12.101 7.011 78.78 68.58 32.64
Positions (direct):
Sr 0.125 0.125 0.375
Sr 0.249 0.751 0.751
Sr 0.375 0.375 0.125
Sr 0.499 0.999 0.501
Sr 0.625 0.625 0.875
Sr 0.751 0.249 0.249
Sr 0.875 0.875 0.625
Sr 0.999 0.499 0.001
Fe 0.125 0.125 0.875
Fe 0.374 0.374 0.626
Fe 0.625 0.625 0.375
Fe 0.874 0.874 0.126
Sn 0.000 0.500 0.500
Sn 0.250 0.749 0.251
Sn 0.500 0.000 0.000
Sn 0.749 0.250 0.750
O 0.000 0.000 0.500
O 0.058 0.814 0.186
O 0.063 0.308 0.692
O 0.118 0.632 0.882
O 0.185 0.941 0.059
O 0.189 0.436 0.564
O 0.250 0.250 0.250
O 0.308 0.063 0.937
O 0.313 0.559 0.441
O 0.368 0.881 0.632
O 0.436 0.189 0.811
O 0.440 0.686 0.314
O 0.500 0.500 0.000
O 0.559 0.313 0.687
O 0.563 0.809 0.191
O 0.632 0.118 0.368
O 0.686 0.440 0.560
O 0.691 0.936 0.064
O 0.750 0.750 0.750
O 0.809 0.563 0.437
O 0.814 0.058 0.942
O 0.881 0.368 0.119
O 0.936 0.691 0.309
O 0.941 0.185 0.815


2.
The following is a computed powder XRD pattern of Mg2MnNb2O8. It was derived from a cell relaxed with PBE+U, using a wavelength of 1.5418 Å.
Neutral-atom scattering factors, no anomalous dispersion.

Peak list (10 most intense, 2θ from 10° to 80°, sorted by position)
Position (°2θ), I (rel.)
20.05, 61.6
22.92, 72.1
26.32, 72.9
26.43, 93.0
27.24, 70.1
32.20, 100.0
32.33, 93.6
34.18, 84.6
34.31, 56.0
51.17, 80.1

Atomic structure:
Lattice parameters (Å, degrees): 10.183 10.183 5.228 90.30 90.30 34.66
Positions (direct):
Mg 0.088 0.370 0.254
Mg 0.370 0.088 0.754
Mg 0.630 0.912 0.246
Mg 0.912 0.630 0.746
Mn 0.160 0.840 0.750
Mn 0.840 0.160 0.250
Nb 0.214 0.550 0.241
Nb 0.450 0.786 0.259
Nb 0.550 0.214 0.741
Nb 0.786 0.450 0.759
O 0.046 0.337 0.617
O 0.065 0.813 0.092
O 0.187 0.935 0.408
O 0.206 0.417 0.956
O 0.318 0.536 0.575
O 0.337 0.046 0.117
O 0.417 0.206 0.456
O 0.464 0.682 0.925
O 0.536 0.318 0.075
O 0.583 0.794 0.544
O 0.663 0.954 0.883
O 0.682 0.464 0.425
O 0.794 0.583 0.044
O 0.813 0.065 0.592
O 0.935 0.187 0.908
O 0.954 0.663 0.383


3.
The following is a computed powder XRD pattern of CaW2O4. It was derived from a cell relaxed with PBE+U, using a wavelength of 1.5418 Å.
Neutral-atom scattering factors, no anomalous dispersion.

Peak list (10 most intense, 2θ from 10° to 80°, sorted by position)
Position (°2θ), I (rel.)
16.30, 22.5
19.13, 55.2
26.91, 49.2
31.72, 21.9
31.87, 100.0
31.93, 56.9
32.11, 22.1
32.18, 24.6
32.94, 22.9
50.86, 32.4

Atomic structure:
Lattice parameters (Å, degrees): 6.588 6.597 16.038 90.11 90.76 119.26
Positions (direct):
Ca 0.000 0.000 0.000
Ca 0.001 0.485 0.498
Ca 0.333 0.649 0.335
Ca 0.336 0.157 0.834
Ca 0.342 0.159 0.206
Ca 0.659 0.311 0.664
W 0.051 0.515 0.137
W 0.166 0.316 0.667
W 0.166 0.818 0.668
W 0.376 0.133 0.462
W 0.495 0.484 0.995
W 0.503 0.988 0.997
W 0.625 0.870 0.533
W 0.668 0.822 0.167
W 0.710 0.769 0.799
W 0.835 0.659 0.333
W 0.842 0.154 0.335
W 0.974 0.525 0.867
O 0.010 0.994 0.741
O 0.035 0.501 0.743
O 0.136 0.796 0.413
O 0.165 0.311 0.411
O 0.173 0.334 0.917
O 0.185 0.824 0.922
O 0.281 0.113 0.598
O 0.326 0.647 0.595
O 0.356 0.166 0.064
O 0.368 0.673 0.073
O 0.460 0.977 0.741
O 0.478 0.478 0.744
O 0.541 0.975 0.249
O 0.542 0.541 0.245
O 0.646 0.811 0.919
O 0.672 0.315 0.927
O 0.684 0.339 0.401
O 0.692 0.832 0.413
O 0.787 0.102 0.087
O 0.788 0.665 0.083
O 0.857 0.155 0.591
O 0.874 0.646 0.599
O 0.957 0.965 0.254
O 0.964 0.467 0.260


4.
The following is a computed powder XRD pattern of Ti2NiP2O10. It was derived from a cell relaxed with PBE+U, using a wavelength of 1.5418 Å.
Neutral-atom scattering factors, no anomalous dispersion.

Peak list (10 most intense, 2θ from 10° to 80°, sorted by position)
Position (°2θ), I (rel.)
13.75, 32.1
18.24, 40.9
26.80, 100.0
26.87, 52.8
27.70, 51.0
27.75, 37.2
34.10, 35.8
38.98, 34.7
43.93, 25.6
57.31, 24.8

Atomic structure:
Lattice parameters (Å, degrees): 7.417 7.430 7.438 90.00 119.76 90.00
Positions (direct):
Ti 0.234 0.221 0.205
Ti 0.234 0.279 0.705
Ti 0.766 0.721 0.295
Ti 0.766 0.779 0.795
Ni 0.500 0.000 0.000
Ni 0.500 0.500 0.500
P 0.256 0.622 0.005
P 0.256 0.878 0.505
P 0.744 0.122 0.495
P 0.744 0.378 0.995
O 0.059 0.736 0.928
O 0.059 0.764 0.428
O 0.239 0.508 0.824
O 0.239 0.992 0.324
O 0.268 0.155 0.998
O 0.268 0.345 0.498
O 0.285 0.005 0.685
O 0.285 0.495 0.185
O 0.444 0.750 0.088
O 0.444 0.750 0.588
O 0.556 0.250 0.412
O 0.556 0.250 0.912
O 0.715 0.505 0.815
O 0.715 0.995 0.315
O 0.732 0.655 0.502
O 0.732 0.845 0.002
O 0.761 0.008 0.676
O 0.761 0.492 0.176
O 0.941 0.236 0.572
O 0.941 0.264 0.072


5.
The following is a computed powder XRD pattern of MnH2S2O8. It was derived from a cell relaxed with PBE+U, using a wavelength of 1.5418 Å.
Neutral-atom scattering factors, no anomalous dispersion.

Peak list (10 most intense, 2θ from 10° to 80°, sorted by position)
Position (°2θ), I (rel.)
15.67, 100.0
22.05, 78.5
22.67, 39.3
24.07, 60.3
25.02, 66.4
28.71, 30.9
28.89, 39.2
31.64, 37.7
36.46, 27.4
37.04, 28.8

Atomic structure:
Lattice parameters (Å, degrees): 5.139 8.462 8.520 90.00 116.82 90.00
Positions (direct):
Mn 0.000 0.000 0.000
Mn 0.000 0.500 0.500
H 0.436 0.018 0.656
H 0.436 0.482 0.156
H 0.564 0.518 0.844
H 0.564 0.982 0.344
S 0.338 0.678 0.278
S 0.338 0.822 0.778
S 0.662 0.178 0.222
S 0.662 0.322 0.722
O 0.093 0.625 0.307
O 0.093 0.875 0.807
O 0.304 0.655 0.719
O 0.304 0.845 0.219
O 0.329 0.585 0.115
O 0.329 0.915 0.615
O 0.377 0.152 0.071
O 0.377 0.348 0.571
O 0.623 0.652 0.429
O 0.623 0.848 0.929
O 0.671 0.085 0.385
O 0.671 0.415 0.885
O 0.696 0.155 0.781
O 0.696 0.345 0.281
O 0.907 0.125 0.193
O 0.907 0.375 0.693


6.
The following is a computed powder XRD pattern of Na5Cr3F14. It was derived from a cell relaxed with PBE+U, using a wavelength of 1.5418 Å.
Neutral-atom scattering factors, no anomalous dispersion.

Peak list (10 most intense, 2θ from 10° to 80°, sorted by position)
Position (°2θ), I (rel.)
14.63, 24.7
16.60, 53.7
24.03, 24.2
24.20, 17.3
29.16, 41.3
29.51, 100.0
34.38, 21.7
48.55, 25.8
49.07, 30.6
49.23, 19.1

Atomic structure:
Lattice parameters (Å, degrees): 7.404 7.355 12.907 90.00 124.18 90.00
Positions (direct):
Na 0.000 0.000 0.000
Na 0.000 0.500 0.500
Na 0.022 0.236 0.743
Na 0.022 0.264 0.243
Na 0.487 0.702 0.252
Na 0.487 0.798 0.752
Na 0.513 0.202 0.248
Na 0.513 0.298 0.748
Na 0.978 0.736 0.757
Na 0.978 0.764 0.257
Cr 0.000 0.000 0.500
Cr 0.000 0.500 0.000
Cr 0.500 0.000 0.000
Cr 0.500 0.000 0.500
Cr 0.500 0.500 0.000
Cr 0.500 0.500 0.500
F 0.104 0.668 0.138
F 0.104 0.832 0.638
F 0.151 0.204 0.612
F 0.151 0.296 0.112
F 0.184 0.510 0.382
F 0.184 0.990 0.882
F 0.249 0.582 0.997
F 0.249 0.918 0.497
F 0.314 0.044 0.323
F 0.314 0.456 0.823
F 0.451 0.560 0.629
F 0.451 0.940 0.129
F 0.467 0.248 0.540
F 0.467 0.252 0.040
F 0.533 0.748 0.960
F 0.533 0.752 0.460
F 0.549 0.060 0.871
F 0.549 0.440 0.371
F 0.686 0.544 0.177
F 0.686 0.956 0.677
F 0.751 0.082 0.503
F 0.751 0.418 0.003
F 0.816 0.010 0.118
F 0.816 0.490 0.618
F 0.849 0.704 0.888
F 0.849 0.796 0.388
F 0.896 0.168 0.362
F 0.896 0.332 0.862


7.
The following is a computed powder XRD pattern of Ca3W2O7. It was derived from a cell relaxed with PBE+U, using a wavelength of 1.5418 Å.
Neutral-atom scattering factors, no anomalous dispersion.

Peak list (10 most intense, 2θ from 10° to 80°, sorted by position)
Position (°2θ), I (rel.)
17.96, 29.7
22.42, 55.6
30.87, 23.6
31.64, 100.0
44.78, 21.2
45.94, 10.9
47.10, 12.5
55.39, 14.9
56.35, 28.9
66.09, 13.9

Atomic structure:
Lattice parameters (Å, degrees): 10.274 10.274 5.793 90.00 90.00 31.97
Positions (direct):
Ca 0.046 0.573 0.605
Ca 0.243 0.757 0.500
Ca 0.427 0.954 0.605
Ca 0.573 0.046 0.105
Ca 0.757 0.243 0.000
Ca 0.954 0.427 0.105
W 0.150 0.648 0.050
W 0.352 0.850 0.050
W 0.648 0.150 0.550
W 0.850 0.352 0.550
O 0.031 0.130 0.241
O 0.040 0.362 0.515
O 0.130 0.031 0.741
O 0.329 0.432 0.359
O 0.352 0.648 0.094
O 0.362 0.040 0.015
O 0.432 0.329 0.859
O 0.568 0.671 0.359
O 0.638 0.960 0.515
O 0.648 0.352 0.594
O 0.671 0.568 0.859
O 0.870 0.969 0.241
O 0.960 0.638 0.015
O 0.969 0.870 0.741


8.
The following is a computed powder XRD pattern of Li3Cr4P6O24. It was derived from a cell relaxed with PBE+U, using a wavelength of 1.5418 Å.
Neutral-atom scattering factors, no anomalous dispersion.

Peak list (10 most intense, 2θ from 10° to 80°, sorted by position)
Position (°2θ), I (rel.)
14.36, 35.9
15.96, 15.0
16.08, 100.0
28.94, 12.5
29.18, 20.1
29.44, 24.1
32.48, 14.6
32.94, 22.3
33.65, 11.6
35.63, 11.7

Atomic structure:
Lattice parameters (Å, degrees): 6.359 8.481 8.758 91.46 106.88 105.54
Positions (direct):
Li 0.000 0.000 0.000
Li 0.261 0.787 0.205
Li 0.739 0.213 0.795
Cr 0.134 0.877 0.559
Cr 0.365 0.441 0.119
Cr 0.635 0.559 0.881
Cr 0.866 0.123 0.441
P 0.132 0.648 0.852
P 0.248 0.214 0.782
P 0.350 0.145 0.349
P 0.650 0.855 0.651
P 0.752 0.786 0.218
P 0.868 0.352 0.148
O 0.026 0.236 0.659
O 0.093 0.487 0.156
O 0.128 0.693 0.682
O 0.175 0.096 0.451
O 0.175 0.797 0.966
O 0.226 0.237 0.952
O 0.264 0.037 0.752
O 0.270 0.021 0.204
O 0.328 0.559 0.912
O 0.374 0.323 0.309
O 0.415 0.854 0.526
O 0.469 0.334 0.764
O 0.531 0.666 0.236
O 0.585 0.146 0.474
O 0.626 0.677 0.691
O 0.672 0.441 0.088
O 0.730 0.979 0.796
O 0.736 0.963 0.248
O 0.774 0.763 0.048
O 0.825 0.203 0.034
O 0.825 0.904 0.549
O 0.872 0.307 0.318
O 0.907 0.513 0.844
O 0.974 0.764 0.341